(1)
Structure and computed X-ray powder pattern of CaHo4Pb4 (the GGA-PBE geometry in Alexandria; Cu Kα (λ = 1.5418 Å)).

Crystal structure
Lattice parameters (Å, degrees): 10.1184 10.1184 6.1909 90.00 90.00 90.00
Space group P4_2/n (No. 86, origin choice 2)
Unique sites:
Ca 0.2500 0.2500 0.2500
Ho 0.1065 0.6411 0.1518
Pb 0.0452 0.6054 0.6666

Peak list (6 most intense, 2θ from 10° to 90°, low angle first)
hkl 1 1 0, 12.37 deg, rel. 78
hkl 2 0 0, 17.53 deg, rel. 36
hkl 1 3 0, 27.88 deg, rel. 100
hkl 1 0 2, 30.19 deg, rel. 67
hkl 2 3 1, 35.11 deg, rel. 59
hkl 3 0 2, 39.51 deg, rel. 87


(2)
Structure and computed X-ray powder pattern of Ca3HoPb2S (the GGA-PBE geometry in Alexandria; Cu Kα (λ = 1.5418 Å)).

Crystal structure
Lattice parameters (Å, degrees): 5.1670 5.2297 16.3774 90.00 90.00 90.00
Space group Immm (No. 71)
Unique sites:
Ca 0.0000 0.0000 0.0000
Ca 0.0000 0.5000 0.3244
Ho 0.0000 0.0000 0.5000
Pb 0.0000 0.5000 0.1280
S 0.0000 0.5000 0.5000

Peak list (6 most intense, 2θ from 10° to 90°, low angle first)
hkl 0 1 1, 17.80 deg, rel. 57
hkl 1 0 3, 23.71 deg, rel. 39
hkl 1 0 5, 32.36 deg, rel. 29
hkl 1 1 4, 32.75 deg, rel. 100
hkl 0 2 0, 34.29 deg, rel. 30
hkl 2 0 0, 34.72 deg, rel. 29


(3)
Structure and computed X-ray powder pattern of Ca2HoPd3 (the GGA-PBE geometry in Alexandria; Cu Kα (λ = 1.5418 Å)).

Crystal structure
Lattice parameters (Å, degrees): 4.7140 14.2397 7.8756 90.00 90.00 90.00
Space group Cmmm (No. 65)
Unique sites:
Ca 0.0000 0.0000 0.0000
Ca 0.0000 0.0000 0.5000
Ca 0.0000 0.3330 0.0000
Ho 0.0000 0.3362 0.5000
Pd 0.0000 0.1729 0.2718
Pd 0.0000 0.5000 0.2572

Peak list (6 most intense, 2θ from 10° to 90°, low angle first)
hkl 0 0 1, 11.24 deg, rel. 27
hkl 1 3 2, 35.20 deg, rel. 100
hkl 0 6 0, 37.91 deg, rel. 21
hkl 2 0 0, 38.18 deg, rel. 21
hkl 1 9 2, 66.73 deg, rel. 14
hkl 3 3 2, 67.10 deg, rel. 15


(4)
Structure and computed X-ray powder pattern of CaHoPd6 (the GGA-PBE geometry in Alexandria; Cu Kα (λ = 1.5418 Å)).

Crystal structure
Lattice parameters (Å, degrees): 5.8901 5.8901 4.6923 90.00 90.00 120.00
Space group P-6m2 (No. 187)
Unique sites:
Ca 0.0000 0.0000 0.0000
Ho 0.3333 0.6667 0.5000
Pd 0.3446 0.1723 0.5000
Pd 0.5041 0.0082 0.0000

Peak list (6 most intense, 2θ from 10° to 90°, low angle first)
hkl 2 0 0, 35.19 deg, rel. 26
hkl 0 0 2, 38.37 deg, rel. 25
hkl 2 0 1, 40.25 deg, rel. 100
hkl 2 2 0, 63.14 deg, rel. 17
hkl 2 0 3, 70.65 deg, rel. 18
hkl 2 2 2, 76.36 deg, rel. 19


(5)
Structure and computed X-ray powder pattern of CaHo2Pd2 (the GGA-PBE geometry in Alexandria; Cu Kα (λ = 1.5418 Å)).

Crystal structure
Lattice parameters (Å, degrees): 7.9786 7.9786 3.8006 90.00 90.00 90.00
Space group P4/mbm (No. 127)
Unique sites:
Ca 0.0000 0.0000 0.0000
Ho 0.1580 0.3420 0.5000
Pd 0.1329 0.6329 0.0000

Peak list (6 most intense, 2θ from 10° to 90°, low angle first)
hkl 1 1 0, 15.71 deg, rel. 23
hkl 2 1 1, 34.48 deg, rel. 100
hkl 3 1 0, 35.58 deg, rel. 31
hkl 4 0 0, 45.47 deg, rel. 11
hkl 3 1 2, 61.05 deg, rel. 12
hkl 5 2 1, 67.90 deg, rel. 19


(6)
Structure and computed X-ray powder pattern of CaHoPdPt (the GGA-PBE geometry in Alexandria; Cu Kα (λ = 1.5418 Å)).

Crystal structure
Lattice parameters (Å, degrees): 4.3592 3.8349 10.8251 90.00 90.00 90.00
Space group Amm2 (No. 38)
Unique sites:
Ca 0.0000 0.0000 0.0000
Ho 0.5000 0.0000 0.7216
Pd 0.5000 0.0000 0.4390
Pt 0.0000 0.0000 0.2718

Peak list (6 most intense, 2θ from 10° to 90°, low angle first)
hkl 0 0 2, 16.38 deg, rel. 54
hkl 1 1 1, 32.17 deg, rel. 100
hkl 0 0 4, 33.10 deg, rel. 25
hkl 1 0 4, 39.18 deg, rel. 26
hkl 1 1 3, 40.06 deg, rel. 84
hkl 2 0 0, 41.43 deg, rel. 27


(7)
Structure and computed X-ray powder pattern of Ca2HoZn2Pd5 (the GGA-PBE geometry in Alexandria; Cu Kα (λ = 1.5418 Å)).

Crystal structure
Lattice parameters (Å, degrees): 10.1449 10.1449 3.7320 90.00 90.00 90.00
Space group P4/mbm (No. 127)
Unique sites:
Ca 0.1742 0.3258 0.0000
Ho 0.0000 0.0000 0.0000
Zn 0.1222 0.6222 0.0000
Pd 0.0000 0.5000 0.5000
Pd 0.0687 0.7897 0.5000

Peak list (6 most intense, 2θ from 10° to 90°, low angle first)
hkl 2 1 0, 19.57 deg, rel. 24
hkl 2 2 1, 34.69 deg, rel. 26
hkl 4 1 0, 36.52 deg, rel. 27
hkl 3 1 1, 36.95 deg, rel. 100
hkl 4 2 0, 39.73 deg, rel. 25
hkl 3 2 1, 40.14 deg, rel. 36


(8)
Structure and computed X-ray powder pattern of CaPm12Ho7 (the GGA-PBE geometry in Alexandria; Cu Kα (λ = 1.5418 Å)).

Crystal structure
Lattice parameters (Å, degrees): 11.5871 11.5871 11.5871 90.00 90.00 90.00
Space group Im-3 (No. 204)
Unique sites:
Ca 0.0000 0.0000 0.0000
Pm 0.0000 0.2614 0.2599
Ho 0.0000 0.0000 0.5000
Ho 0.2500 0.2500 0.2500

Peak list (6 most intense, 2θ from 10° to 90°, low angle first)
hkl 2 0 0, 15.29 deg, rel. 31
hkl 2 2 2, 26.65 deg, rel. 60
hkl 4 0 0, 30.87 deg, rel. 100
hkl 4 4 0, 44.22 deg, rel. 73
hkl 6 2 2, 52.38 deg, rel. 25
hkl 8 4 0, 73.04 deg, rel. 30


(9)
Structure and computed X-ray powder pattern of CaPm2Pr6Ho (the GGA-PBE geometry in Alexandria; Cu Kα (λ = 1.5418 Å)).

Crystal structure
Lattice parameters (Å, degrees): 9.2860 15.6993 10.0458 90.00 99.36 90.00
Space group C2/c (No. 15)
Unique sites:
Ca 0.0000 0.0983 0.2500
Pm 0.2492 0.4515 0.0425
Pr 0.0576 0.3236 0.4474
Pr 0.1098 0.1065 0.6237
Pr 0.1977 0.2739 0.8224
Ho 0.0000 0.4766 0.7500

Peak list (6 most intense, 2θ from 10° to 90°, low angle first)
hkl 1 3 2, 27.70 deg, rel. 89
hkl 0 2 3, 29.33 deg, rel. 56
hkl 3 1 -1, 29.73 deg, rel. 97
hkl 1 5 0, 30.09 deg, rel. 56
hkl 2 2 2, 30.83 deg, rel. 100
hkl 1 3 -3, 32.19 deg, rel. 58


(10)
Structure and computed X-ray powder pattern of CaPm4HoS8 (the GGA-PBE geometry in Alexandria; Cu Kα (λ = 1.5418 Å)).

Crystal structure
Lattice parameters (Å, degrees): 8.2665 8.2665 20.0781 90.00 90.00 120.00
Space group R3m (No. 160, hexagonal axes)
Unique sites:
Ca 0.0000 0.0000 0.0000
Pm 0.0000 0.0000 0.2489
Pm 0.1691 0.3382 0.4574
Ho 0.0000 0.0000 0.6266
S 0.0000 0.0000 0.3823
S 0.0000 0.0000 0.8660
S 0.0283 0.5141 0.3749
S 0.1803 0.3607 0.2078

Peak list (6 most intense, 2θ from 10° to 90°, low angle first)
hkl 1 0 1, 13.15 deg, rel. 44
hkl 1 1 3, 25.31 deg, rel. 100
hkl 0 2 4, 30.68 deg, rel. 50
hkl 1 2 5, 40.16 deg, rel. 49
hkl 2 2 0, 43.81 deg, rel. 44
hkl 2 0 8, 44.07 deg, rel. 44


(11)
Structure and computed X-ray powder pattern of CaPr3Ho8 (the GGA-PBE geometry in Alexandria; Cu Kα (λ = 1.5418 Å)).

Crystal structure
Lattice parameters (Å, degrees): 8.7548 8.7548 11.7786 90.00 90.00 90.00
Space group I-42m (No. 121)
Unique sites:
Ca 0.0000 0.0000 0.0000
Pr 0.0000 0.0000 0.5000
Pr 0.0000 0.5000 0.2500
Ho 0.1343 0.1343 0.7270
Ho 0.2330 0.2330 0.4591

Peak list (6 most intense, 2θ from 10° to 90°, low angle first)
hkl 2 1 1, 23.95 deg, rel. 72
hkl 2 0 2, 25.35 deg, rel. 54
hkl 2 2 0, 28.84 deg, rel. 70
hkl 0 0 4, 30.35 deg, rel. 46
hkl 2 1 3, 32.30 deg, rel. 69
hkl 3 1 2, 35.84 deg, rel. 100


(12)
Structure and computed X-ray powder pattern of CaPr8Ho4 (the GGA-PBE geometry in Alexandria; Cu Kα (λ = 1.5418 Å)).

Crystal structure
Lattice parameters (Å, degrees): 11.5824 5.1969 15.1090 90.00 94.00 90.00
Space group C2/m (No. 12)
Unique sites:
Ca 0.0000 0.0000 0.0000
Pr 0.0407 0.5000 0.3861
Pr 0.0756 0.0000 0.7659
Pr 0.1936 0.5000 0.9199
Pr 0.2340 0.0000 0.3108
Ho 0.1212 0.5000 0.1592
Ho 0.1518 0.0000 0.5369

Peak list (6 most intense, 2θ from 10° to 90°, low angle first)
hkl 3 1 1, 29.83 deg, rel. 100
hkl 0 2 0, 34.51 deg, rel. 34
hkl 4 0 -3, 34.73 deg, rel. 17
hkl 2 2 5, 49.63 deg, rel. 18
hkl 4 2 -3, 49.77 deg, rel. 12
hkl 3 3 1, 58.95 deg, rel. 22